# 1
Theoretical powder XRD pattern of Cs2CrCl7 for Cu Kα (λ = 1.5418 Å), from a DFT-relaxed cell (PBE, Alexandria).
Lines closer than 0.1° are merged.

Cell and atoms:
Cell: 7.7919 7.7919 7.7919 Å, 122.09 122.09 86.41°
Positions (direct):
1 Cs 0.2500 0.7500 0.5000
2 Cs 0.7500 0.2500 0.5000
3 Cr 0.0000 0.0000 0.0000
4 Cl 0.2021 0.2021 0.0000
5 Cl 0.2167 0.2167 0.4334
6 Cl 0.2167 0.7833 0.0000
7 Cl 0.5000 0.5000 0.0000
8 Cl 0.7833 0.2167 0.0000
9 Cl 0.7833 0.7833 0.5666
10 Cl 0.7979 0.7979 0.0000

Principal peaks in the range 15° ≤ 2θ ≤ 90°, sorted by position:
Position (°2θ)  intensity
22.9  100.0
23.6  44.3
28.4  87.1
33.6  61.7
41.0  35.8
46.7  38.2

---

# 2
Theoretical powder XRD pattern of Ag4Pd3Au3 for Cu Kα (λ = 1.5418 Å), from a DFT-relaxed cell (PBE, Alexandria).
Lines closer than 0.1° are merged.

Cell and atoms:
Cell: 2.8171 8.2277 8.2277 Å, 103.29 90.00 90.00°
Positions (direct):
1 Ag 0.0000 0.0000 0.0000
2 Ag 0.0000 0.2676 0.2676
3 Ag 0.0000 0.4646 0.7807
4 Ag 0.0000 0.7807 0.4646
5 Pd 0.5000 0.3014 0.9814
6 Pd 0.5000 0.7675 0.7675
7 Pd 0.5000 0.9814 0.3014
8 Au 0.0000 0.0989 0.6842
9 Au 0.0000 0.6842 0.0989
10 Au 0.5000 0.4953 0.4953

Principal peaks in the range 15° ≤ 2θ ≤ 90°, sorted by position:
Position (°2θ)  intensity
22.4  35.8
32.8  39.3
37.9  90.6
39.2  100.0
42.0  30.2
42.2  61.5